# ErTl2Cu2Se4
Calculated XRD peak list, Cu Ka. Input: a DFT-relaxed cell (GGA-PBE, Alexandria).
Kinematic intensities with the Lorentz-polarization factor, no thermal factor.

Crystal structure
```
ErTl2Cu2Se4
1.0
7.424 -1.990 0.000
7.424 1.990 0.000
-2.508 0.000 7.632
Er Tl Cu Se
1 2 2 4
Direct
0.000 0.000 0.000
0.132 0.132 0.560
0.868 0.868 0.440
0.317 0.317 0.010
0.683 0.683 0.990
0.201 0.201 0.179
0.476 0.476 0.234
0.524 0.524 0.766
0.799 0.799 0.821
```

Peak list (10 most intense, 10° ≤ 2θ ≤ 80°, low angle first)
2θ/deg	I (rel.)
23.26	46
24.28	21
28.61	24
29.38	53
31.08	49
31.67	100
33.87	77
37.85	30
45.59	32
51.29	33